Starting from DFT lattice parameters and positions (GGA-PBE), the X-ray powder pattern of BaDyAlSe4 was calculated for Cu Ka.
No peak broadening, texture or thermal motion is included.

Structure:
```
data_BaDyAlSe4
_symmetry_space_group_name_H-M 'P 1 21/m 1'
_symmetry_Int_Tables_number 11
_symmetry_space_group_name_Hall '-P 2yb'
_cell_length_a 6.8213
_cell_length_b 7.0460
_cell_length_c 8.7713
_cell_angle_alpha 90.00
_cell_angle_beta 107.46
_cell_angle_gamma 90.00
loop_
_atom_site_label
_atom_site_type_symbol
_atom_site_fract_x
_atom_site_fract_y
_atom_site_fract_z
Ba1 Ba 0.2465 0.2500 0.0599
Dy1 Dy 0.2246 0.2500 0.5534
Al1 Al 0.2328 0.7500 0.3267
Se1 Se 0.0092 0.5070 0.7183
Se2 Se 0.4290 0.7500 0.1447
Se3 Se 0.4508 0.7500 0.5906
```

Top 10 peaks for 2θ from 15° to 90°, in order of falling intensity:
2θ 31.4, d = 2.852 Å, rel. 100.0, hkl 1 1 2
2θ 18.6, d = 4.780 Å, rel. 96.1, hkl 1 1 0
2θ 32.0, d = 2.799 Å, rel. 84.6, hkl 2 1 -2
2θ 33.4, d = 2.680 Å, rel. 76.8, hkl 1 2 -2
2θ 33.2, d = 2.695 Å, rel. 75.4, hkl 0 2 2
2θ 29.3, d = 3.050 Å, rel. 69.4, hkl 2 0 -2
2θ 28.8, d = 3.098 Å, rel. 62.7, hkl 1 2 0
2θ 25.3, d = 3.523 Å, rel. 58.3, hkl 0 2 0
2θ 28.6, d = 3.119 Å, rel. 55.9, hkl 1 0 2
2θ 37.6, d = 2.390 Å, rel. 49.8, hkl 2 2 0


Starting from DFT lattice parameters and positions (GGA-PBE), the X-ray powder pattern of Zr6HgRh5 was calculated for Cu Ka.
No peak broadening, texture or thermal motion is included.

Structure:
```
data_Zr6HgRh5
_symmetry_space_group_name_H-M 'I m m m'
_symmetry_Int_Tables_number 71
_symmetry_space_group_name_Hall '-I 2 2'
_cell_length_a 4.7049
_cell_length_b 6.7425
_cell_length_c 14.0895
_cell_angle_alpha 90.00
_cell_angle_beta 90.00
_cell_angle_gamma 90.00
loop_
_atom_site_label
_atom_site_type_symbol
_atom_site_fract_x
_atom_site_fract_y
_atom_site_fract_z
Zr1 Zr 0.0000 0.2360 0.0000
Zr2 Zr 0.0000 0.2565 0.3291
Hg1 Hg 0.0000 0.0000 0.5000
Rh1 Rh 0.0000 0.0000 0.1706
Rh2 Rh 0.0000 0.5000 0.1616
Rh3 Rh 0.0000 0.5000 0.5000
```

Top 10 peaks for 2θ from 15° to 90°, in order of falling intensity:
2θ 38.0, d = 2.367 Å, rel. 100.0, hkl 1 2 3
2θ 38.3, d = 2.350 Å, rel. 49.1, hkl 2 0 0
2θ 69.1, d = 1.360 Å, rel. 32.9, hkl 3 2 3
2θ 68.5, d = 1.370 Å, rel. 16.9, hkl 2 4 0
2θ 55.3, d = 1.662 Å, rel. 16.5, hkl 2 0 6
2θ 81.3, d = 1.183 Å, rel. 10.3, hkl 2 4 6
2θ 54.4, d = 1.686 Å, rel. 8.6, hkl 0 4 0
2θ 81.9, d = 1.176 Å, rel. 2.6, hkl 4 0 0
2θ 82.1, d = 1.174 Å, rel. 2.5, hkl 0 0 12
2θ 26.8, d = 3.324 Å, rel. 2.1, hkl 1 0 3


Starting from DFT lattice parameters and positions (GGA-PBE), the X-ray powder pattern of Cd2Pd5Pb was calculated for Cu Ka.
No peak broadening, texture or thermal motion is included.

Structure:
```
data_Cd2Pd5Pb
_symmetry_space_group_name_H-M 'I 4/m m m'
_symmetry_Int_Tables_number 139
_symmetry_space_group_name_Hall '-I 4 2'
_cell_length_a 4.2311
_cell_length_b 4.2311
_cell_length_c 15.5454
_cell_angle_alpha 90.00
_cell_angle_beta 90.00
_cell_angle_gamma 90.00
loop_
_atom_site_label
_atom_site_type_symbol
_atom_site_fract_x
_atom_site_fract_y
_atom_site_fract_z
Cd1 Cd 0.0000 0.0000 0.2475
Pd1 Pd 0.0000 0.0000 0.0000
Pd2 Pd 0.0000 0.5000 0.1262
Pb1 Pb 0.0000 0.0000 0.5000
```

Top 10 peaks for 2θ from 15° to 90°, in order of falling intensity:
2θ 38.0, d = 2.371 Å, rel. 100.0, hkl 1 1 4
2θ 42.7, d = 2.116 Å, rel. 35.7, hkl 2 0 0
2θ 75.1, d = 1.265 Å, rel. 26.3, hkl 3 1 4
2θ 65.2, d = 1.431 Å, rel. 19.8, hkl 2 0 8
2θ 46.7, d = 1.943 Å, rel. 13.7, hkl 0 0 8
2θ 62.0, d = 1.496 Å, rel. 11.6, hkl 2 2 0
2θ 80.9, d = 1.189 Å, rel. 10.9, hkl 1 1 12
2θ 81.1, d = 1.185 Å, rel. 10.7, hkl 2 2 8
2θ 21.8, d = 4.083 Å, rel. 3.4, hkl 1 0 1
2θ 27.2, d = 3.277 Å, rel. 2.8, hkl 1 0 3


Starting from DFT lattice parameters and positions (GGA-PBE), the X-ray powder pattern of NaAg3Sn5 was calculated for Cu Ka.
No peak broadening, texture or thermal motion is included.

Structure:
```
data_NaAg3Sn5
_symmetry_space_group_name_H-M 'C 1 2/m 1'
_symmetry_Int_Tables_number 12
_symmetry_space_group_name_Hall '-C 2y'
_cell_length_a 11.6214
_cell_length_b 8.4292
_cell_length_c 10.1760
_cell_angle_alpha 90.00
_cell_angle_beta 100.51
_cell_angle_gamma 90.00
loop_
_atom_site_label
_atom_site_type_symbol
_atom_site_fract_x
_atom_site_fract_y
_atom_site_fract_z
Na1 Na 0.1298 0.0000 0.2868
Ag1 Ag 0.0000 0.0000 0.0000
Ag2 Ag 0.0000 0.0000 0.5000
Ag3 Ag 0.0788 0.5000 0.7584
Ag4 Ag 0.1561 0.5000 0.2013
Sn1 Sn 0.0000 0.3168 0.0000
Sn2 Sn 0.1297 0.5000 0.4681
Sn3 Sn 0.1600 0.2021 0.6563
Sn4 Sn 0.2402 0.0000 0.0181
```

Top 10 peaks for 2θ from 15° to 90°, in order of falling intensity:
2θ 28.7, d = 3.111 Å, rel. 100.0, hkl 2 2 1
2θ 34.0, d = 2.633 Å, rel. 77.3, hkl 3 1 -3
2θ 42.0, d = 2.151 Å, rel. 72.7, hkl 2 0 4
2θ 39.9, d = 2.261 Å, rel. 70.6, hkl 3 3 0
2θ 21.1, d = 4.215 Å, rel. 53.0, hkl 0 2 0
2θ 21.4, d = 4.158 Å, rel. 49.6, hkl 2 0 -2
2θ 38.3, d = 2.353 Å, rel. 48.6, hkl 1 3 2
2θ 43.5, d = 2.081 Å, rel. 44.8, hkl 4 0 -4
2θ 39.1, d = 2.306 Å, rel. 44.0, hkl 4 0 2
2θ 30.2, d = 2.960 Å, rel. 41.9, hkl 2 2 -2


Starting from DFT lattice parameters and positions (GGA-PBE), the X-ray powder pattern of LaPmPr4Nd2 was calculated for Cu Ka.
No peak broadening, texture or thermal motion is included.

Structure:
```
data_LaPmPr4Nd2
_symmetry_space_group_name_H-M 'P 1'
_symmetry_Int_Tables_number 1
_symmetry_space_group_name_Hall 'P 1'
_cell_length_a 7.3985
_cell_length_b 7.4001
_cell_length_c 12.8448
_cell_angle_alpha 73.34
_cell_angle_beta 73.34
_cell_angle_gamma 60.04
loop_
_atom_site_label
_atom_site_type_symbol
_atom_site_fract_x
_atom_site_fract_y
_atom_site_fract_z
La1 La 0.0000 0.0000 0.0000
La2 La 0.5003 0.0004 0.5004
Pm1 Pm 0.9996 0.5006 0.5003
Pm2 Pm 0.0006 0.0003 0.5002
Pr1 Pr 0.2494 0.2510 0.7499
Pr2 Pr 0.2502 0.2507 0.2506
Pr3 Pr 0.2500 0.7501 0.2510
Pr4 Pr 0.2503 0.7499 0.7498
Pr5 Pr 0.7501 0.2506 0.7491
Pr6 Pr 0.7500 0.7499 0.2507
Pr7 Pr 0.7502 0.7504 0.7503
Pr8 Pr 0.7511 0.2501 0.2505
Nd1 Nd 0.0003 0.5003 0.0004
Nd2 Nd 0.4995 0.0006 0.0004
Nd3 Nd 0.5000 0.5001 0.5001
Nd4 Nd 0.5006 0.5001 0.0002
```

Top 10 peaks for 2θ from 15° to 90°, in order of falling intensity:
2θ 29.5, d = 3.024 Å, rel. 100.0, hkl 2 2 0
2θ 34.2, d = 2.619 Å, rel. 50.7, hkl 2 2 4
2θ 58.4, d = 1.580 Å, rel. 25.4, hkl 2 2 8
2θ 49.1, d = 1.854 Å, rel. 18.3, hkl 2 0 6
2θ 49.2, d = 1.850 Å, rel. 18.2, hkl 4 2 2
2θ 58.5, d = 1.578 Å, rel. 18.1, hkl 4 4 4
2θ 61.3, d = 1.511 Å, rel. 9.4, hkl 4 4 0
2θ 79.9, d = 1.201 Å, rel. 8.8, hkl 6 4 2
2θ 82.4, d = 1.171 Å, rel. 8.2, hkl 6 2 0
2θ 82.2, d = 1.173 Å, rel. 5.5, hkl 4 2 -6


Starting from DFT lattice parameters and positions (GGA-PBE), the X-ray powder pattern of PmPu2F11 was calculated for Cu Ka.
No peak broadening, texture or thermal motion is included.

Structure:
```
data_PmPu2F11
_symmetry_space_group_name_H-M 'I b a m'
_symmetry_Int_Tables_number 72
_symmetry_space_group_name_Hall '-I 2 2c'
_cell_length_a 8.4590
_cell_length_b 10.3314
_cell_length_c 11.2122
_cell_angle_alpha 90.00
_cell_angle_beta 90.00
_cell_angle_gamma 90.00
loop_
_atom_site_label
_atom_site_type_symbol
_atom_site_fract_x
_atom_site_fract_y
_atom_site_fract_z
Pm1 Pm 0.0000 0.0000 0.2500
Pu1 Pu 0.1527 0.3198 0.0000
F1 F 0.0000 0.5000 0.0000
F2 F 0.0876 0.1815 0.1400
F3 F 0.1326 0.2864 0.5000
F4 F 0.2211 0.0682 0.3650
```

Top 10 peaks for 2θ from 15° to 90°, in order of falling intensity:
2θ 24.1, d = 3.695 Å, rel. 100.0, hkl 2 1 1
2θ 20.9, d = 4.258 Å, rel. 81.7, hkl 1 1 2
2θ 21.7, d = 4.103 Å, rel. 75.8, hkl 1 2 1
2θ 23.4, d = 3.799 Å, rel. 74.0, hkl 0 2 2
2θ 44.6, d = 2.034 Å, rel. 56.9, hkl 3 3 2
2θ 15.8, d = 5.606 Å, rel. 54.1, hkl 0 0 2
2θ 43.9, d = 2.061 Å, rel. 31.6, hkl 1 4 3
2θ 43.0, d = 2.106 Å, rel. 30.4, hkl 1 3 4
2θ 33.1, d = 2.703 Å, rel. 28.4, hkl 2 1 3
2θ 28.0, d = 3.190 Å, rel. 26.2, hkl 1 3 0